This entry pairs a crystal structure of BaAcCoO4 with its calculated powder XRD pattern. Radiation: CuKα. Structure: DFT lattice parameters and positions (PBE+U).
Peak positions follow from Bragg's law for the DFT cell and can differ from measured ones.

Cell and atoms:
a = 6.0342 Å, b = 5.9213 Å, c = 7.3914 Å
α = 90.00°, β = 107.82°, γ = 90.00°
Space group P2_1/m (No. 11)
Inequivalent atoms, fractional coordinates:
Ba1 0.2257 0.2500 0.4327 (multiplicity 2)
Ac1 0.2955 0.2500 0.9544 (multiplicity 2)
Co1 0.2421 0.7500 0.1841 (multiplicity 2)
O1 0.0663 0.7500 0.3462 (multiplicity 2)
O2 0.0765 0.7500 0.9328 (multiplicity 2)
O3 0.4712 0.5140 0.2236 (multiplicity 4)

The 10 most intense peaks (2θ = 10–90°), by angle:
hkl  2θ (°)  I_rel
0 0 1  12.58  39
1 1 0  21.55  100
0 0 2  25.32  36
1 1 -2  29.53  84
0 2 0  30.19  55
2 0 0  31.14  30
1 1 2  37.06  86
0 2 2  39.79  42
2 2 0  43.92  34
1 3 2  58.21  22